Calculated powder diffraction line list of Li3Al2FeO6 for copper Kα, from a crystal structure in Alexandria, relaxed with GGA+U.

Cell and atoms:
a b c (Å): 5.3386 5.8607 7.8169
angles (deg): 90.63 98.81 90.31
Space group P-1 (No. 2)
Unique sites:
Li: 0.0041 0.3350 0.2440 (multiplicity 2)
Li: 0.1537 0.8361 0.0801 (multiplicity 2)
Li: 0.3235 0.6563 0.4050 (multiplicity 2)
Al: 0.1584 0.1726 0.5776 (multiplicity 2)
Al: 0.3246 0.3323 0.9107 (multiplicity 2)
Fe: 0.4959 0.1692 0.2534 (multiplicity 2)
O: 0.0317 0.3278 0.7439 (multiplicity 2)
O: 0.1596 0.8589 0.5794 (multiplicity 2)
O: 0.1919 0.1788 0.0738 (multiplicity 2)
O: 0.3274 0.3115 0.4254 (multiplicity 2)
O: 0.3540 0.6458 0.9179 (multiplicity 2)
O: 0.4769 0.1656 0.7549 (multiplicity 2)

Top 8 peaks for 10° ≤ 2θ ≤ 90°, in order of rising 2θ:
- 2θ 16.81, I 47
- 2θ 22.76, I 30
- 2θ 24.26, I 34
- 2θ 30.51, I 100
- 2θ 30.68, I 58
- 2θ 44.46, I 62
- 2θ 54.12, I 30
- 2θ 54.41, I 65